(1)
Calculated powder diffraction line list of URu2Rh for λ = 1.5418 Å (Cu Kα), from DFT lattice parameters and positions (PBE).

Largest 10 diffraction maxima, low angle first, 10 to 90 degrees two-theta:
2θ = 22.0°, d 4.043, rel. 101; 2θ = 31.7°, d 2.822, rel. 87; 2θ = 38.9°, d 2.314, rel. 1000; 2θ = 44.8°, d 2.022, rel. 335; 2θ = 46.1°, d 1.971, rel. 155; 2θ = 65.3°, d 1.430, rel. 110; 2θ = 66.2°, d 1.411, rel. 210; 2θ = 78.7°, d 1.216, rel. 261; 2θ = 80.4°, d 1.194, rel. 123; 2θ = 83.6°, d 1.157, rel. 113

Crystal structure
a = 4.043 Å, b = 4.043 Å, c = 3.942 Å
α = 90.00°, β = 90.00°, γ = 90.00°
Atoms (fractional coordinates):
U  0.000  0.000  0.000
Ru  0.000  0.500  0.500
Ru  0.500  0.000  0.500
Rh  0.500  0.500  0.000

***

(2)
Calculated powder diffraction line list of KNdZrNbO6 for λ = 1.5418 Å (Cu Kα), from DFT lattice parameters and positions (PBE).

Largest 10 diffraction maxima, low angle first, 10 to 90 degrees two-theta:
2θ = 18.7°, d 4.757, rel. 201; 2θ = 30.7°, d 2.913, rel. 1000; 2θ = 36.2°, d 2.484, rel. 120; 2θ = 44.0°, d 2.060, rel. 344; 2θ = 48.1°, d 1.890, rel. 56; 2θ = 54.6°, d 1.682, rel. 391; 2θ = 63.9°, d 1.457, rel. 205; 2θ = 72.6°, d 1.303, rel. 167; 2θ = 80.8°, d 1.189, rel. 67; 2θ = 88.9°, d 1.101, rel. 203

Crystal structure
a = 5.827 Å, b = 5.827 Å, c = 5.827 Å
α = 60.00°, β = 60.00°, γ = 60.00°
Atoms (fractional coordinates):
K  0.000  0.000  0.000
Nd  0.500  0.500  0.500
Zr  0.750  0.750  0.750
Nb  0.250  0.250  0.250
O  0.004  0.004  0.496
O  0.004  0.496  0.004
O  0.004  0.496  0.496
O  0.496  0.004  0.004
O  0.496  0.004  0.496
O  0.496  0.496  0.004

***

(3)
Calculated powder diffraction line list of CoNi2S4 for λ = 1.5418 Å (Cu Kα), from DFT lattice parameters and positions (PBE).

Largest 10 diffraction maxima, low angle first, 10 to 90 degrees two-theta:
2θ = 16.4°, d 5.411, rel. 139; 2θ = 26.9°, d 3.315, rel. 253; 2θ = 31.7°, d 2.826, rel. 1000; 2θ = 38.4°, d 2.343, rel. 459; 2θ = 50.6°, d 1.805, rel. 231; 2θ = 50.7°, d 1.802, rel. 221; 2θ = 55.3°, d 1.661, rel. 134; 2θ = 55.5°, d 1.657, rel. 540; 2θ = 55.6°, d 1.652, rel. 135; 2θ = 82.3°, d 1.171, rel. 117

Crystal structure
a = 6.626 Å, b = 6.626 Å, c = 6.626 Å
α = 120.18°, β = 119.81°, γ = 90.00°
Atoms (fractional coordinates):
Co  0.500  0.000  0.000
Co  0.500  0.500  0.500
Ni  0.000  0.000  0.000
Ni  0.124  0.374  0.750
Ni  0.500  0.000  0.500
Ni  0.876  0.626  0.250
S  0.261  0.245  0.484
S  0.261  0.776  0.016
S  0.264  0.242  0.021
S  0.279  0.758  0.521
S  0.721  0.242  0.479
S  0.736  0.758  0.979
S  0.739  0.224  0.984
S  0.739  0.755  0.516

***

(4)
Calculated powder diffraction line list of TiAl2Cr3C2 for λ = 1.5418 Å (Cu Kα), from DFT lattice parameters and positions (PBE).

Largest 10 diffraction maxima, low angle first, 10 to 90 degrees two-theta:
2θ = 13.7°, d 6.469, rel. 307; 2θ = 35.9°, d 2.505, rel. 188; 2θ = 36.5°, d 2.459, rel. 60; 2θ = 41.7°, d 2.166, rel. 1000; 2θ = 41.9°, d 2.156, rel. 181; 2θ = 56.3°, d 1.634, rel. 157; 2θ = 64.4°, d 1.446, rel. 187; 2θ = 76.4°, d 1.247, rel. 134; 2θ = 79.7°, d 1.203, rel. 126; 2θ = 79.9°, d 1.201, rel. 142

Crystal structure
a = 2.892 Å, b = 2.892 Å, c = 12.938 Å
α = 90.00°, β = 90.00°, γ = 120.00°
Atoms (fractional coordinates):
Ti  0.000  0.000  0.000
Al  0.000  0.000  0.660
Al  0.667  0.333  0.177
Cr  0.000  0.000  0.336
Cr  0.667  0.333  0.498
Cr  0.667  0.333  0.824
C  0.333  0.667  0.417
C  0.333  0.667  0.904

***

(5)
Calculated powder diffraction line list of CsO for λ = 1.5418 Å (Cu Kα), from DFT lattice parameters and positions (PBE).

Largest 10 diffraction maxima, low angle first, 10 to 90 degrees two-theta:
2θ = 25.5°, d 3.498, rel. 1000; 2θ = 29.5°, d 3.030, rel. 890; 2θ = 42.2°, d 2.142, rel. 644; 2θ = 49.9°, d 1.827, rel. 491; 2θ = 52.3°, d 1.749, rel. 224; 2θ = 61.2°, d 1.515, rel. 103; 2θ = 67.4°, d 1.390, rel. 210; 2θ = 69.4°, d 1.355, rel. 283; 2θ = 77.1°, d 1.237, rel. 209; 2θ = 82.8°, d 1.166, rel. 165

Crystal structure
a = 4.285 Å, b = 4.285 Å, c = 4.285 Å
α = 60.00°, β = 60.00°, γ = 60.00°
Atoms (fractional coordinates):
Cs  0.000  0.000  0.000
O  0.500  0.500  0.500

***

(6)
Calculated powder diffraction line list of CsAgCl3 for λ = 1.5418 Å (Cu Kα), from DFT lattice parameters and positions (PBE).

Largest 10 diffraction maxima, low angle first, 10 to 90 degrees two-theta:
2θ = 23.4°, d 3.802, rel. 1000; 2θ = 24.2°, d 3.682, rel. 452; 2θ = 29.1°, d 3.071, rel. 199; 2θ = 32.2°, d 2.783, rel. 293; 2θ = 34.4°, d 2.604, rel. 506; 2θ = 40.6°, d 2.220, rel. 208; 2θ = 42.1°, d 2.148, rel. 415; 2θ = 47.8°, d 1.901, rel. 354; 2θ = 49.5°, d 1.841, rel. 174; 2θ = 60.3°, d 1.535, rel. 168

Crystal structure
a = 7.622 Å, b = 7.622 Å, c = 7.622 Å
α = 122.23°, β = 122.23°, γ = 86.19°
Atoms (fractional coordinates):
Cs  0.250  0.750  0.500
Cs  0.750  0.250  0.500
Ag  0.000  0.000  0.000
Ag  0.500  0.500  0.000
Cl  0.218  0.218  0.000
Cl  0.267  0.267  0.534
Cl  0.267  0.733  0.000
Cl  0.733  0.267  0.000
Cl  0.733  0.733  0.466
Cl  0.782  0.782  0.000

***

(7)
Calculated powder diffraction line list of Na3MgCu2O4 for λ = 1.5418 Å (Cu Kα), from DFT lattice parameters and positions (PBE).

Largest 10 diffraction maxima, low angle first, 10 to 90 degrees two-theta:
2θ = 12.2°, d 7.275, rel. 509; 2θ = 15.3°, d 5.799, rel. 489; 2θ = 20.4°, d 4.351, rel. 1000; 2θ = 27.8°, d 3.212, rel. 448; 2θ = 34.3°, d 2.615, rel. 560; 2θ = 34.4°, d 2.605, rel. 430; 2θ = 36.2°, d 2.479, rel. 403; 2θ = 37.0°, d 2.432, rel. 479; 2θ = 37.1°, d 2.425, rel. 749; 2θ = 37.9°, d 2.372, rel. 555

Crystal structure
a = 6.046 Å, b = 6.046 Å, c = 8.928 Å
α = 123.93°, β = 123.93°, γ = 31.25°
Atoms (fractional coordinates):
Na  0.000  0.000  0.000
Na  0.512  0.512  0.692
Na  0.735  0.735  0.360
Mg  0.282  0.282  0.088
Cu  0.248  0.248  0.662
Cu  0.980  0.980  0.335
O  0.392  0.392  0.381
O  0.492  0.492  0.193
O  0.669  0.669  0.002
O  0.819  0.819  0.681

***

(8)
Calculated powder diffraction line list of Na3Si2Sn2PO12 for λ = 1.5418 Å (Cu Kα), from DFT lattice parameters and positions (PBE).

Largest 10 diffraction maxima, low angle first, 10 to 90 degrees two-theta:
2θ = 13.8°, d 6.427, rel. 247; 2θ = 19.4°, d 4.572, rel. 870; 2θ = 19.6°, d 4.522, rel. 914; 2θ = 23.0°, d 3.873, rel. 236; 2θ = 27.7°, d 3.215, rel. 486; 2θ = 31.0°, d 2.888, rel. 1000; 2θ = 34.2°, d 2.620, rel. 218; 2θ = 34.4°, d 2.610, rel. 561; 2θ = 46.9°, d 1.937, rel. 381; 2θ = 50.9°, d 1.792, rel. 262

Crystal structure
a = 9.047 Å, b = 9.047 Å, c = 9.143 Å
α = 119.63°, β = 119.63°, γ = 59.91°
Atoms (fractional coordinates):
Na  0.065  0.935  0.500
Na  0.312  0.823  0.246
Na  0.564  0.705  0.999
Na  0.705  0.564  0.499
Na  0.823  0.312  0.746
Na  0.935  0.065  0.000
Si  0.064  0.270  0.490
Si  0.270  0.064  0.990
Si  0.770  0.859  0.495
Si  0.859  0.770  0.995
Sn  0.162  0.665  0.801
Sn  0.460  0.969  0.689
Sn  0.665  0.162  0.301
Sn  0.969  0.460  0.189
P  0.360  0.563  0.498
P  0.563  0.360  0.998
O  0.035  0.288  0.308
O  0.041  0.754  0.982
O  0.080  0.233  0.005
O  0.081  0.452  0.661
O  0.187  0.548  0.336
O  0.233  0.080  0.505
O  0.255  0.882  0.978
O  0.288  0.035  0.808
O  0.342  0.590  0.670
O  0.380  0.731  0.510
O  0.402  0.535  0.977
O  0.452  0.081  0.161
O  0.535  0.402  0.477
O  0.548  0.187  0.836
O  0.590  0.342  0.170
O  0.591  0.871  0.512
O  0.678  0.794  0.817
O  0.731  0.380  0.010
O  0.754  0.041  0.482
O  0.794  0.678  0.317
O  0.838  0.951  0.171
O  0.871  0.591  0.012
O  0.882  0.255  0.478
O  0.951  0.838  0.671

***

(9)
Calculated powder diffraction line list of KTeAu for λ = 1.5418 Å (Cu Kα), from DFT lattice parameters and positions (PBE).

Largest 10 diffraction maxima, low angle first, 10 to 90 degrees two-theta:
2θ = 17.6°, d 5.039, rel. 943; 2θ = 21.6°, d 4.122, rel. 318; 2θ = 28.0°, d 3.190, rel. 1000; 2θ = 35.6°, d 2.520, rel. 283; 2θ = 37.8°, d 2.380, rel. 721; 2θ = 42.0°, d 2.151, rel. 780; 2θ = 47.7°, d 1.907, rel. 226; 2θ = 52.9°, d 1.730, rel. 542; 2θ = 62.4°, d 1.488, rel. 199; 2θ = 68.3°, d 1.373, rel. 286

Crystal structure
a = 4.759 Å, b = 4.759 Å, c = 10.079 Å
α = 90.00°, β = 90.00°, γ = 120.00°
Atoms (fractional coordinates):
K  0.000  0.000  0.000
K  0.000  0.000  0.500
Te  0.333  0.667  0.250
Te  0.667  0.333  0.750
Au  0.333  0.667  0.750
Au  0.667  0.333  0.250

***

(10)
Calculated powder diffraction line list of Sb for λ = 1.5418 Å (Cu Kα), from DFT lattice parameters and positions (PBE).

Largest 10 diffraction maxima, low angle first, 10 to 90 degrees two-theta:
2θ = 19.1°, d 4.642, rel. 258; 2θ = 22.1°, d 4.018, rel. 216; 2θ = 27.4°, d 3.258, rel. 1000; 2θ = 30.3°, d 2.946, rel. 499; 2θ = 30.9°, d 2.893, rel. 975; 2θ = 34.0°, d 2.637, rel. 211; 2θ = 34.8°, d 2.581, rel. 205; 2θ = 40.9°, d 2.206, rel. 364; 2θ = 42.6°, d 2.122, rel. 331; 2θ = 44.1°, d 2.053, rel. 288

Crystal structure
a = 6.846 Å, b = 8.640 Å, c = 8.873 Å
α = 113.83°, β = 92.13°, γ = 102.62°
Atoms (fractional coordinates):
Sb  0.000  0.000  0.000
Sb  0.000  0.500  0.000
Sb  0.160  0.191  0.542
Sb  0.192  0.648  0.368
Sb  0.274  0.251  0.886
Sb  0.315  0.809  0.754
Sb  0.327  0.850  0.113
Sb  0.500  0.000  0.500
Sb  0.500  0.500  0.500
Sb  0.673  0.150  0.887
Sb  0.685  0.191  0.246
Sb  0.726  0.749  0.114
Sb  0.808  0.352  0.632
Sb  0.840  0.809  0.458